# 1
Starting from a cell relaxed with PBE, the powder XRD pattern of Rb2CdI2Br2 was simulated for Cu Kα X-rays.
Peak positions follow from Bragg's law for the DFT cell and can differ from measured ones.

Atomic structure:
Lattice parameters (Å, degrees): 11.868 12.004 8.538 90.00 90.00 90.00
Space group Ama2 (No. 40)
Symmetry-distinct sites (fractional):
Rb: 0.000 0.000 0.000 x4
Rb: 0.250 0.177 0.458 x4
Cd: 0.250 0.277 0.960 x4
I: 0.055 0.289 0.148 x8
Br: 0.250 0.077 0.825 x4
Br: 0.250 0.426 0.731 x4

Principal peaks in the range 10° ≤ 2θ ≤ 90°, in order of falling intensity:
| h k l | 2theta | Rel. int. |
| --- | --- | --- |
| 2 2 2 | 29.77 | 100 |
| 2 0 2 | 25.71 | 77 |
| 0 2 0 | 14.76 | 57 |
| 0 3 1 | 24.57 | 53 |
| 3 1 1 | 25.91 | 52 |
| 4 0 0 | 30.12 | 33 |
| 3 1 3 | 39.73 | 25 |
| 2 1 3 | 35.78 | 24 |
| 3 3 3 | 45.33 | 19 |
| 5 3 1 | 45.70 | 18 |

***

# 2
Starting from a cell relaxed with PBE, the powder XRD pattern of Nb2CdSe3Br2 was simulated for Cu Kα X-rays.
Peak positions follow from Bragg's law for the DFT cell and can differ from measured ones.

Atomic structure:
Lattice parameters (Å, degrees): 20.321 3.556 13.597 90.00 119.39 90.00
Space group C2/m (No. 12)
Symmetry-distinct sites (fractional):
Nb: 0.099 0.000 0.350 x4
Nb: 0.209 0.500 0.538 x4
Cd: 0.143 0.500 0.944 x4
Se: 0.007 0.500 0.720 x4
Se: 0.117 0.000 0.548 x4
Se: 0.185 0.500 0.318 x4
Br: 0.099 0.000 0.048 x4
Br: 0.202 0.000 0.854 x4

Principal peaks in the range 10° ≤ 2θ ≤ 90°, in order of falling intensity:
| h k l | 2theta | Rel. int. |
| --- | --- | --- |
| 2 0 -2 | 13.29 | 100 |
| 5 1 0 | 35.79 | 48 |
| 7 1 -1 | 41.35 | 39 |
| 3 1 -4 | 36.57 | 36 |
| 4 0 2 | 30.56 | 34 |
| 8 0 -6 | 43.98 | 32 |
| 5 1 -1 | 33.85 | 30 |
| 0 2 0 | 51.39 | 29 |
| 1 1 -5 | 44.10 | 28 |
| 5 1 -3 | 35.07 | 27 |

***

# 3
Starting from a cell relaxed with PBE, the powder XRD pattern of CdBr2O6 was simulated for Cu Kα X-rays.
Peak positions follow from Bragg's law for the DFT cell and can differ from measured ones.

Atomic structure:
Lattice parameters (Å, degrees): 9.314 9.591 6.696 90.00 108.63 90.00
Space group C2/c (No. 15)
Symmetry-distinct sites (fractional):
Cd: 0.000 0.092 0.250 x4
Br: 0.191 0.387 0.244 x8
O: 0.118 0.087 0.629 x8
O: 0.120 0.392 0.443 x8
O: 0.178 0.218 0.168 x8

Principal peaks in the range 10° ≤ 2θ ≤ 90°, in order of falling intensity:
| h k l | 2theta | Rel. int. |
| --- | --- | --- |
| 1 1 -1 | 17.09 | 100 |
| 2 2 -1 | 27.76 | 96 |
| 0 0 2 | 28.13 | 84 |
| 2 2 1 | 33.84 | 74 |
| 3 1 0 | 31.82 | 66 |
| 3 5 0 | 57.32 | 64 |
| 1 3 -1 | 31.52 | 58 |
| 1 1 1 | 21.76 | 49 |
| 2 2 -3 | 45.34 | 42 |
| 1 1 0 | 13.63 | 39 |

***

# 4
Starting from a cell relaxed with PBE, the powder XRD pattern of Sr2Cd3Br2O4 was simulated for Cu Kα X-rays.
Peak positions follow from Bragg's law for the DFT cell and can differ from measured ones.

Atomic structure:
Lattice parameters (Å, degrees): 6.161 6.161 12.408 90.00 90.00 90.00
Space group I4/mmm (No. 139)
Symmetry-distinct sites (fractional):
Sr: 0.000 0.000 0.131 x4
Cd: 0.000 0.000 0.500 x2
Cd: 0.000 0.500 0.000 x4
Br: 0.000 0.500 0.250 x4
O: 0.235 0.235 0.000 x8

Principal peaks in the range 10° ≤ 2θ ≤ 90°, in order of falling intensity:
| h k l | 2theta | Rel. int. |
| --- | --- | --- |
| 2 0 0 | 28.99 | 100 |
| 1 1 4 | 35.53 | 62 |
| 2 2 0 | 41.46 | 55 |
| 1 0 3 | 25.95 | 42 |
| 0 0 2 | 14.28 | 40 |
| 3 1 4 | 55.72 | 33 |
| 2 1 3 | 39.29 | 31 |
| 0 0 4 | 28.78 | 22 |
| 4 2 0 | 68.06 | 18 |
| 2 0 8 | 67.63 | 17 |

***

# 5
Starting from a cell relaxed with PBE, the powder XRD pattern of Rb4CdBr6 was simulated for Cu Kα X-rays.
Peak positions follow from Bragg's law for the DFT cell and can differ from measured ones.

Atomic structure:
Lattice parameters (Å, degrees): 13.2095 13.2095 16.5079 90.00 90.00 120.00
Space group R-3c (No. 167, hexagonal axes)
Symmetry-distinct sites (fractional):
Rb: 0.0000 0.0000 0.2500 x6
Rb: 0.0000 0.3760 0.2500 x18
Cd: 0.0000 0.0000 0.0000 x6
Br: 0.0303 0.1894 0.4005 x36

Principal peaks in the range 10° ≤ 2θ ≤ 90°, in order of falling intensity:
| h k l | 2theta | Rel. int. |
| --- | --- | --- |
| 2 2 3 | 31.60 | 100 |
| 2 1 4 | 29.93 | 65 |
| 1 3 1 | 28.65 | 49 |
| 0 1 2 | 13.23 | 31 |
| 3 2 4 | 40.74 | 29 |
| 1 1 0 | 13.41 | 23 |
| 3 5 4 | 60.98 | 22 |
| 0 0 6 | 32.54 | 22 |
| 5 3 2 | 57.48 | 22 |
| 3 0 0 | 23.33 | 21 |

***

# 6
Starting from a cell relaxed with PBE, the powder XRD pattern of RbCdBr3 was simulated for Cu Kα X-rays.
Peak positions follow from Bragg's law for the DFT cell and can differ from measured ones.

Atomic structure:
Lattice parameters (Å, degrees): 6.276 8.076 8.843 64.09 89.86 89.74
Space group P-1 (No. 2)
Symmetry-distinct sites (fractional):
Rb: 0.238 0.064 0.251 x2
Cd: 0.214 0.460 0.657 x2
Br: 0.239 0.544 0.328 x2
Br: 0.265 0.758 0.693 x2
Br: 0.268 0.115 0.844 x2

Principal peaks in the range 10° ≤ 2θ ≤ 90°, in order of falling intensity:
| h k l | 2theta | Rel. int. |
| --- | --- | --- |
| 2 0 0 | 28.44 | 100 |
| 0 0 2 | 22.36 | 61 |
| 0 1 1 | 12.40 | 38 |
| 0 3 1 | 33.67 | 33 |
| 2 0 -2 | 36.48 | 32 |
| 0 0 1 | 11.12 | 30 |
| 0 1 -1 | 19.83 | 26 |
| 1 2 3 | 35.05 | 26 |
| -1 1 1 | 18.84 | 25 |
| 1 2 1 | 26.19 | 24 |